Structure and theoretical X-ray powder pattern of BaLaCo2O5 (a structure optimized by DFT (PBE+U); Cu Kα).
Lines closer than 0.1° are merged.

Crystal structure
Lattice parameters (Å, degrees): 3.924 4.034 7.852 90.00 90.00 90.00
Space group Pmmm (No. 47)
One atom of each set of equivalent atoms:
Ba1 0.000 0.000 0.000 [1 per cell]
La1 0.000 0.000 0.500 [1 per cell]
Co1 0.500 0.500 0.253 [2 per cell]
O1 0.000 0.500 0.305 [2 per cell]
O2 0.500 0.000 0.300 [2 per cell]
O3 0.500 0.500 0.000 [1 per cell]

Main lines, by angle (5° ≤ 2θ ≤ 70°):
| two_theta | I/Imax | h k l |
| --- | --- | --- |
| 31.81 | 100 | 0 1 2 |
| 32.25 | 53 | 1 0 2 |
| 39.41 | 19 | 1 1 2 |
| 46.26 | 27 | 2 0 0 |
| 56.40 | 21 | 1 2 2 |
| 57.23 | 42 | 1 1 4 |

***

Structure and theoretical X-ray powder pattern of BaLa4Co5O15 (a structure optimized by DFT (PBE+U); Cu Kα).
Lines closer than 0.1° are merged.

Crystal structure
Lattice parameters (Å, degrees): 18.328 5.572 13.493 90.00 118.69 90.00
Space group C2/c (No. 15)
One atom of each set of equivalent atoms:
Ba1 0.000 0.001 0.250 [4 per cell]
La1 0.102 0.500 0.149 [8 per cell]
La2 0.202 0.005 0.053 [8 per cell]
Co1 0.000 0.000 0.000 [4 per cell]
Co2 0.101 0.499 0.900 [8 per cell]
Co3 0.200 0.003 0.300 [8 per cell]
O1 0.000 0.471 0.750 [4 per cell]
O2 0.037 0.251 0.445 [8 per cell]
O3 0.068 0.263 0.971 [8 per cell]
O4 0.107 0.063 0.653 [8 per cell]
O5 0.145 0.273 0.342 [8 per cell]
O6 0.169 0.246 0.874 [8 per cell]
O7 0.202 0.435 0.557 [8 per cell]
O8 0.234 0.248 0.229 [8 per cell]

Main lines, by angle (5° ≤ 2θ ≤ 70°):
| two_theta | I/Imax | h k l |
| --- | --- | --- |
| 32.14 | 100 | 5 1 0 |
| 32.29 | 67 | 1 1 -4 |
| 32.58 | 32 | 6 0 -4 |
| 46.00 | 20 | 4 0 4 |
| 46.41 | 41 | 6 2 -4 |
| 57.26 | 34 | 10 0 0 |

***

Structure and theoretical X-ray powder pattern of BaLa2Co3O9 (a structure optimized by DFT (PBE+U); Cu Kα).
Lines closer than 0.1° are merged.

Crystal structure
Lattice parameters (Å, degrees): 5.5221 5.5221 6.7010 90.00 90.00 120.00
Space group P-3m1 (No. 164)
One atom of each set of equivalent atoms:
Ba1 0.0000 0.0000 0.0000 [1 per cell]
La1 0.3333 0.6667 0.6652 [2 per cell]
Co1 0.0000 0.0000 0.5000 [1 per cell]
Co2 0.3333 0.6667 0.1647 [2 per cell]
O1 0.0000 0.5000 0.0000 [3 per cell]
O2 0.1718 0.3435 0.3456 [6 per cell]

Main lines, by angle (5° ≤ 2θ ≤ 70°):
| two_theta | I/Imax | h k l |
| --- | --- | --- |
| 22.85 | 22 | 1 0 1 |
| 32.43 | 100 | 1 1 0 |
| 32.63 | 98 | 0 1 2 |
| 40.04 | 25 | 0 2 1 |
| 46.67 | 64 | 2 0 2 |
| 57.97 | 38 | 1 2 2 |